This entry pairs a crystal structure of Ho7Ni2Se2 with its computed X-ray powder pattern. Radiation: copper Kα. Structure: DFT lattice parameters and positions (PBE).
Intensities are scaled so that the largest is 100.

Main lines, by angle (2θ = 10–80°):
| d (Å) | 2theta | I (rel.) | (hkl) |
| --- | --- | --- | --- |
| 3.033 | 29.45 | 24 | 0 1 3 |
| 3.020 | 29.58 | 26 | 1 3 0 |
| 2.877 | 31.08 | 58 | 1 1 2 |
| 2.866 | 31.21 | 31 | 0 5 1 |
| 2.636 | 34.01 | 64 | 0 3 3 |
| 2.564 | 35.00 | 100 | 1 4 1 |
| 2.532 | 35.46 | 47 | 1 3 2 |
| 2.395 | 37.55 | 21 | 1 0 3 |
| 2.283 | 39.48 | 19 | 1 2 3 |
| 1.890 | 48.16 | 28 | 2 0 0 |
| 1.735 | 52.77 | 16 | 1 7 2 |
| 1.536 | 60.26 | 25 | 2 3 3 |

Structural model:
```
data_Ho7Ni2Se2
_space_group_name_H-M_alt 'I m m 2'
_space_group_IT_number 44
_space_group_name_Hall 'I 2 -2'
_cell_length_a 3.779
_cell_length_b 15.065
_cell_length_c 9.290
_cell_angle_alpha 90.00
_cell_angle_beta 90.00
_cell_angle_gamma 90.00
loop_
_atom_site_label
_atom_site_type_symbol
_atom_site_fract_x
_atom_site_fract_y
_atom_site_fract_z
Ho1 Ho 0.000 0.000 0.000
Ho2 Ho 0.000 0.125 0.589
Ho3 Ho 0.000 0.315 0.385
Ho4 Ho 0.000 0.360 0.741
Ni1 Ni 0.000 0.239 0.080
Se1 Se 0.000 0.000 0.341
Se2 Se 0.000 0.500 0.244
```